Starting from a structure optimized by DFT (GGA+U), the powder X-ray diffraction pattern of KBaLaWO6 was simulated for Cu Kα (weighted mean of Kα1 and Kα2).
No peak broadening, texture or thermal motion is included.

Cell: 8.6891 8.6891 8.6891 Å, 90.00 90.00 90.00°
Space group F-43m (No. 216)
Symmetry-distinct sites (fractional):
K: 0.0000 0.0000 0.0000 x4
Ba: 0.0000 0.0000 0.5000 x4
La: 0.2500 0.2500 0.7500 x4
W: 0.2500 0.2500 0.2500 x4
O: 0.0245 0.2500 0.2500 x24

Main lines, sorted by position (2θ from 10° to 90°):
17.68°, I 12, (1 1 1)
20.44°, I 18, (2 0 0)
29.07°, I 100, (2 2 0)
34.23°, I 6, (3 1 1)
41.57°, I 30, (4 0 0)
46.75°, I 8, (4 2 0)
51.53°, I 40, (4 2 2)
60.25°, I 19, (4 4 0)
68.27°, I 19, (6 2 0)
83.20°, I 22, (6 4 2)